# 1
Computed powder diffraction line list
Compound: CeCuSe2
Radiation: copper Kα
Structure: the GGA-PBE geometry in the Materials Project
Neutral-atom scattering factors, no anomalous dispersion.

Crystal structure
a = 6.696 Å, b = 7.512 Å, c = 7.244 Å
α = 90.00°, β = 96.88°, γ = 90.00°
Sites, in units of the cell vectors:
Ce (0.191, 0.048, 0.300)
Ce (0.191, 0.452, 0.800)
Ce (0.809, 0.548, 0.200)
Ce (0.809, 0.952, 0.700)
Cu (0.438, 0.662, 0.461)
Cu (0.438, 0.838, 0.961)
Cu (0.562, 0.162, 0.039)
Cu (0.562, 0.338, 0.539)
Se (0.087, 0.725, 0.500)
Se (0.087, 0.775, 0.000)
Se (0.401, 0.112, 0.716)
Se (0.401, 0.388, 0.216)
Se (0.599, 0.612, 0.784)
Se (0.599, 0.888, 0.284)
Se (0.913, 0.225, 0.000)
Se (0.913, 0.275, 0.500)

Main lines, by angle (2θ from 10° to 90°):
3.931 Å, rel. 57
3.045 Å, rel. 74
2.917 Å, rel. 100
2.798 Å, rel. 62
2.598 Å, rel. 80
2.491 Å, rel. 50

***

# 2
Computed powder diffraction line list
Compound: Ca2Al2SiO7
Radiation: copper Kα
Structure: the GGA-PBE geometry in the Materials Project
Neutral-atom scattering factors, no anomalous dispersion.

Crystal structure
a = 6.779 Å, b = 7.483 Å, c = 13.218 Å
α = 90.00°, β = 90.00°, γ = 90.00°
Sites, in units of the cell vectors:
Ca (0.079, 0.158, 0.029)
Ca (0.169, 0.631, 0.964)
Ca (0.331, 0.369, 0.464)
Ca (0.421, 0.842, 0.529)
Ca (0.579, 0.342, 0.971)
Ca (0.669, 0.869, 0.036)
Ca (0.831, 0.131, 0.536)
Ca (0.921, 0.658, 0.471)
Al (0.079, 0.844, 0.648)
Al (0.240, 0.122, 0.752)
Al (0.260, 0.878, 0.252)
Al (0.421, 0.156, 0.148)
Al (0.579, 0.656, 0.352)
Al (0.740, 0.378, 0.248)
Al (0.760, 0.622, 0.748)
Al (0.921, 0.344, 0.852)
Si (0.128, 0.453, 0.649)
Si (0.372, 0.547, 0.149)
Si (0.628, 0.047, 0.351)
Si (0.872, 0.953, 0.851)
O (0.010, 0.880, 0.944)
O (0.026, 0.517, 0.758)
O (0.076, 0.948, 0.529)
O (0.173, 0.239, 0.862)
O (0.180, 0.082, 0.203)
O (0.208, 0.704, 0.164)
O (0.213, 0.636, 0.599)
O (0.287, 0.364, 0.099)
O (0.292, 0.296, 0.664)
O (0.320, 0.918, 0.703)
O (0.327, 0.761, 0.362)
O (0.424, 0.052, 0.029)
O (0.474, 0.483, 0.258)
O (0.490, 0.120, 0.444)
O (0.510, 0.620, 0.056)
O (0.526, 0.983, 0.242)
O (0.576, 0.552, 0.471)
O (0.673, 0.261, 0.138)
O (0.680, 0.418, 0.797)
O (0.708, 0.796, 0.836)
O (0.713, 0.864, 0.401)
O (0.787, 0.136, 0.901)
O (0.792, 0.204, 0.336)
O (0.820, 0.582, 0.297)
O (0.827, 0.739, 0.638)
O (0.924, 0.448, 0.971)
O (0.974, 0.017, 0.742)
O (0.990, 0.380, 0.556)

Main lines, by angle (2θ from 10° to 90°):
6.032 Å, rel. 100
4.732 Å, rel. 39
3.311 Å, rel. 32
3.179 Å, rel. 57
2.761 Å, rel. 30
2.057 Å, rel. 29

***

# 3
Computed powder diffraction line list
Compound: BaCd2
Radiation: copper Kα
Structure: the GGA-PBE geometry in the Materials Project
Neutral-atom scattering factors, no anomalous dispersion.

Crystal structure
a = 5.327 Å, b = 8.474 Å, c = 8.798 Å
α = 90.00°, β = 90.00°, γ = 90.00°
Sites, in units of the cell vectors:
Ba (0.000, 0.250, 0.047)
Ba (0.000, 0.750, 0.953)
Ba (0.500, 0.250, 0.453)
Ba (0.500, 0.750, 0.547)
Cd (0.000, 0.061, 0.665)
Cd (0.000, 0.439, 0.665)
Cd (0.000, 0.561, 0.335)
Cd (0.000, 0.939, 0.335)
Cd (0.500, 0.061, 0.835)
Cd (0.500, 0.439, 0.835)
Cd (0.500, 0.561, 0.165)
Cd (0.500, 0.939, 0.165)

Main lines, by angle (2θ from 10° to 90°):
3.149 Å, rel. 53
3.103 Å, rel. 100
3.052 Å, rel. 38
2.689 Å, rel. 37
2.663 Å, rel. 49
2.569 Å, rel. 66